Diffraction record for Li6NiPt. The X-ray powder pattern is calculated, not measured: it uses DFT lattice parameters and positions (PBE) and Cu Kα X-rays.
No peak broadening, texture or thermal motion is included.

Crystal structure
a b c (Å): 4.209 4.209 5.934
angles (deg): 90.00 90.00 90.00
Element x y z (fractional)
Li (0.000, 0.000, 0.000)
Li (0.000, 0.500, 0.250)
Li (0.000, 0.500, 0.750)
Li (0.500, 0.000, 0.250)
Li (0.500, 0.000, 0.750)
Li (0.500, 0.500, 0.500)
Ni (0.000, 0.000, 0.500)
Pt (0.500, 0.500, 0.000)

Peak list (10 most intense, 5° ≤ 2θ ≤ 70°, sorted by position)
d_spacing	Position (°2θ)	I (rel.)
5.934	14.93	226
4.209	21.11	208
3.433	25.95	1000
2.973	30.06	518
2.660	33.69	133
2.102	43.02	531
1.794	50.89	319
1.790	51.01	158
1.717	53.37	138
1.364	68.85	127


Diffraction record for Ta2Ga3W4C3. The X-ray powder pattern is calculated, not measured: it uses DFT lattice parameters and positions (PBE) and Cu Kα X-rays.
No peak broadening, texture or thermal motion is included.

Crystal structure
a b c (Å): 5.381 5.381 13.573
angles (deg): 101.39 101.39 60.04
Element x y z (fractional)
Ta (0.032, 0.862, 0.595)
Ta (0.138, 0.968, 0.905)
Ta (0.862, 0.032, 0.095)
Ta (0.968, 0.138, 0.405)
Ga (0.084, 0.274, 0.749)
Ga (0.274, 0.084, 0.249)
Ga (0.445, 0.555, 0.750)
Ga (0.555, 0.445, 0.250)
Ga (0.726, 0.916, 0.751)
Ga (0.916, 0.726, 0.251)
W (0.195, 0.366, 0.086)
W (0.307, 0.468, 0.414)
W (0.366, 0.195, 0.586)
W (0.468, 0.307, 0.914)
W (0.532, 0.693, 0.086)
W (0.634, 0.805, 0.414)
W (0.693, 0.532, 0.586)
W (0.805, 0.634, 0.914)
C (0.000, 0.500, 0.500)
C (0.163, 0.675, 0.000)
C (0.325, 0.837, 0.500)
C (0.500, 0.000, 0.000)
C (0.675, 0.163, 0.500)
C (0.837, 0.325, 0.000)

Peak list (10 most intense, 5° ≤ 2θ ≤ 70°, sorted by position)
d_spacing	Position (°2θ)	I (rel.)
6.608	13.40	150
3.304	26.99	60
2.691	33.29	238
2.637	34.00	114
2.296	39.23	1000
2.203	40.98	181
2.086	43.37	41
1.704	53.78	139
1.554	59.50	205
1.546	59.84	51


Diffraction record for Sr2ZnSbAs. The X-ray powder pattern is calculated, not measured: it uses DFT lattice parameters and positions (PBE) and Cu Kα X-rays.
No peak broadening, texture or thermal motion is included.

Crystal structure
a b c (Å): 9.185 9.185 7.399
angles (deg): 90.00 90.00 151.49
Element x y z (fractional)
Sr (0.021, 0.979, 0.500)
Sr (0.195, 0.805, 0.212)
Sr (0.805, 0.195, 0.712)
Sr (0.979, 0.021, 0.000)
Zn (0.406, 0.594, 0.361)
Zn (0.594, 0.406, 0.861)
Sb (0.168, 0.832, 0.756)
Sb (0.832, 0.168, 0.256)
As (0.438, 0.562, 0.712)
As (0.562, 0.438, 0.212)

Peak list (10 most intense, 5° ≤ 2θ ≤ 70°, sorted by position)
d_spacing	Position (°2θ)	I (rel.)
5.690	15.57	189
3.699	24.06	267
3.598	24.75	236
3.416	26.08	288
3.236	27.57	303
2.798	31.99	713
2.754	32.51	161
2.579	34.78	1000
2.262	39.86	381
1.907	47.69	152


Diffraction record for Lu10Al3Os. The X-ray powder pattern is calculated, not measured: it uses DFT lattice parameters and positions (PBE) and Cu Kα X-rays.
No peak broadening, texture or thermal motion is included.

Crystal structure
a b c (Å): 9.298 9.298 9.464
angles (deg): 90.00 90.00 120.00
Element x y z (fractional)
Lu (0.000, 0.000, 0.000)
Lu (0.000, 0.000, 0.500)
Lu (0.077, 0.538, 0.250)
Lu (0.207, 0.415, 0.558)
Lu (0.207, 0.415, 0.942)
Lu (0.207, 0.793, 0.558)
Lu (0.207, 0.793, 0.942)
Lu (0.415, 0.207, 0.058)
Lu (0.415, 0.207, 0.442)
Lu (0.462, 0.538, 0.250)
Lu (0.462, 0.923, 0.250)
Lu (0.538, 0.077, 0.750)
Lu (0.538, 0.462, 0.750)
Lu (0.585, 0.793, 0.558)
Lu (0.585, 0.793, 0.942)
Lu (0.793, 0.207, 0.058)
Lu (0.793, 0.207, 0.442)
Lu (0.793, 0.585, 0.058)
Lu (0.793, 0.585, 0.442)
Lu (0.923, 0.462, 0.750)
Al (0.111, 0.222, 0.250)
Al (0.111, 0.889, 0.250)
Al (0.222, 0.111, 0.750)
Al (0.778, 0.889, 0.250)
Al (0.889, 0.111, 0.750)
Al (0.889, 0.778, 0.750)
Os (0.333, 0.667, 0.750)
Os (0.667, 0.333, 0.250)

Peak list (10 most intense, 5° ≤ 2θ ≤ 70°, sorted by position)
d_spacing	Position (°2θ)	I (rel.)
3.043	29.35	275
2.897	30.86	252
2.582	34.74	393
2.560	35.06	1000
2.483	36.17	358
2.324	38.74	225
1.594	57.84	237
1.549	59.68	218
1.547	59.78	231
1.525	60.75	225


Diffraction record for HoH9C5N2O8. The X-ray powder pattern is calculated, not measured: it uses DFT lattice parameters and positions (PBE) and Cu Kα X-rays.
No peak broadening, texture or thermal motion is included.

Crystal structure
a b c (Å): 6.586 6.586 6.466
angles (deg): 106.77 106.77 64.41
Element x y z (fractional)
Ho (0.000, 0.000, 0.000)
H (0.161, 0.465, 0.127)
H (0.246, 0.500, 0.534)
H (0.343, 0.204, 0.403)
H (0.500, 0.754, 0.466)
H (0.535, 0.449, 0.823)
H (0.535, 0.839, 0.873)
H (0.551, 0.465, 0.177)
H (0.796, 0.657, 0.597)
H (0.916, 0.084, 0.500)
C (0.055, 0.467, 0.959)
C (0.073, 0.927, 0.500)
C (0.527, 0.294, 0.703)
C (0.533, 0.945, 0.041)
C (0.706, 0.473, 0.297)
N (0.358, 0.334, 0.533)
N (0.666, 0.642, 0.467)
O (0.012, 0.635, 0.872)
O (0.152, 0.836, 0.670)
O (0.164, 0.848, 0.330)
O (0.365, 0.988, 0.128)
O (0.671, 0.098, 0.732)
O (0.693, 0.016, 0.133)
O (0.902, 0.329, 0.268)
O (0.984, 0.307, 0.867)

Peak list (10 most intense, 5° ≤ 2θ ≤ 70°, sorted by position)
d_spacing	Position (°2θ)	I (rel.)
6.078	14.57	436
5.832	15.19	1000
5.239	16.92	308
4.875	18.20	249
4.675	18.98	499
3.858	23.05	406
3.127	28.54	291
2.933	30.48	206
2.916	30.66	212
2.615	34.29	214


Diffraction record for Nd2ErO4. The X-ray powder pattern is calculated, not measured: it uses DFT lattice parameters and positions (PBE) and Cu Kα X-rays.
No peak broadening, texture or thermal motion is included.

Crystal structure
a b c (Å): 6.937 6.937 6.937
angles (deg): 60.00 60.00 60.00
Element x y z (fractional)
Nd (0.000, 0.000, 0.000)
Nd (0.000, 0.000, 0.500)
Nd (0.000, 0.500, 0.000)
Nd (0.500, 0.000, 0.000)
Er (0.375, 0.375, 0.375)
Er (0.625, 0.625, 0.625)
O (0.249, 0.750, 0.750)
O (0.250, 0.250, 0.250)
O (0.250, 0.250, 0.751)
O (0.250, 0.751, 0.250)
O (0.750, 0.249, 0.750)
O (0.750, 0.750, 0.249)
O (0.750, 0.750, 0.750)
O (0.751, 0.250, 0.250)

Peak list (10 most intense, 5° ≤ 2θ ≤ 70°, sorted by position)
d_spacing	Position (°2θ)	I (rel.)
3.469	25.68	302
2.958	30.21	1000
2.832	31.59	211
2.453	36.64	79
2.003	45.28	133
1.888	48.20	368
1.734	52.79	402
1.551	59.60	59
1.496	62.03	130
1.479	62.83	102


Question: Number 6 is which compound?
Answer: Nd2ErO4